No. 1
# CeSe2
Calculated powder diffractogram, Cu Kα, 1.54184 Å. Input: a crystal structure in the Materials Project, relaxed with GGA-PBE.

Atomic structure:
```
data_CeSe2
_space_group_name_H-M_alt 'P 1 21/c 1'
_space_group_IT_number 14
_cell_length_a 6.965
_cell_length_b 7.092
_cell_length_c 7.106
_cell_angle_alpha 90.00
_cell_angle_beta 102.54
_cell_angle_gamma 90.00
loop_
_space_group_symop_operation_xyz
'x,y,z'
'-x,-y,-z'
'-x,y+1/2,-z+1/2'
'x,-y+1/2,z+1/2'
loop_
_atom_site_label
_atom_site_type_symbol
_atom_site_fract_x
_atom_site_fract_y
_atom_site_fract_z
_atom_site_occupancy
Ce1 Ce 0.212 0.052 0.303 1
Se1 Se 0.064 0.743 0.514 1
Se2 Se 0.441 0.166 0.669 1
```

Principal peaks in the range 5 to 70 degrees two-theta, sorted by position:
| 2θ/deg | d (Å) | intensity | (hkl) |
| --- | --- | --- | --- |
| 17.89 | 4.959 | 30 | 0 1 1 |
| 20.46 | 4.340 | 88 | 1 1 -1 |
| 23.79 | 3.740 | 41 | 1 1 1 |
| 29.46 | 3.032 | 29 | 2 1 -1 |
| 30.00 | 2.978 | 33 | 1 2 -1 |
| 33.91 | 2.644 | 40 | 1 1 2 |
| 36.23 | 2.479 | 30 | 0 2 2 |
| 36.61 | 2.455 | 100 | 1 2 -2 |
| 41.04 | 2.199 | 44 | 2 0 2 |
| 42.66 | 2.119 | 30 | 3 0 -2 |

=====

No. 2
# K5U2O4F9
Calculated powder diffractogram, Cu Kα, 1.54184 Å. Input: a crystal structure in the Materials Project, relaxed with GGA-PBE.

Atomic structure:
```
data_K5U2O4F9
_space_group_name_H-M_alt 'C 1 2/c 1'
_space_group_IT_number 15
_cell_length_a 19.987
_cell_length_b 6.258
_cell_length_c 11.718
_cell_angle_alpha 90.00
_cell_angle_beta 101.72
_cell_angle_gamma 90.00
loop_
_space_group_symop_operation_xyz
'x,y,z'
'-x,-y,-z'
'-x,y,-z+1/2'
'x,-y,z+1/2'
'x+1/2,y+1/2,z'
'-x+1/2,-y+1/2,-z'
'-x+1/2,y+1/2,-z+1/2'
'x+1/2,-y+1/2,z+1/2'
loop_
_atom_site_label
_atom_site_type_symbol
_atom_site_fract_x
_atom_site_fract_y
_atom_site_fract_z
_atom_site_occupancy
K1 K 0.023 0.247 0.419 1
K2 K 0.181 0.259 0.133 1
K3 K 0.250 0.250 0.500 1
U1 U 0.113 0.243 0.784 1
O1 O 0.080 0.499 0.220 1
O2 O 0.144 0.016 0.350 1
F1 F 0.000 0.088 0.750 1
F2 F 0.067 0.330 0.939 1
F3 F 0.090 0.069 0.612 1
F4 F 0.197 0.395 0.918 1
F5 F 0.203 0.299 0.698 1
```

Principal peaks in the range 5 to 70 degrees two-theta, sorted by position:
| 2θ/deg | d (Å) | intensity | (hkl) |
| --- | --- | --- | --- |
| 15.45 | 5.737 | 45 | 0 0 2 |
| 16.32 | 5.433 | 100 | 1 1 -1 |
| 17.18 | 5.161 | 29 | 1 1 1 |
| 18.13 | 4.893 | 29 | 4 0 0 |
| 22.14 | 4.014 | 30 | 3 1 1 |
| 26.23 | 3.397 | 34 | 4 0 2 |
| 26.65 | 3.345 | 62 | 5 1 -1 |
| 26.91 | 3.313 | 61 | 1 1 -3 |
| 28.52 | 3.129 | 30 | 0 2 0 |
| 39.14 | 2.302 | 33 | 4 2 2 |

=====

No. 3
# Al2SiO5
Calculated powder diffractogram, Cu Kα, 1.54184 Å. Input: a crystal structure in the Materials Project, relaxed with GGA-PBE.

Atomic structure:
```
data_Al2SiO5
_space_group_name_H-M_alt 'P -1'
_space_group_IT_number 2
_cell_length_a 5.636
_cell_length_b 7.204
_cell_length_c 7.935
_cell_angle_alpha 73.99
_cell_angle_beta 89.90
_cell_angle_gamma 78.87
loop_
_space_group_symop_operation_xyz
'x,y,z'
'-x,-y,-z'
loop_
_atom_site_label
_atom_site_type_symbol
_atom_site_fract_x
_atom_site_fract_y
_atom_site_fract_z
_atom_site_occupancy
Al1 Al 0.042 0.325 0.296 1
Al2 Al 0.140 0.900 0.386 1
Al3 Al 0.335 0.112 0.083 1
Al4 Al 0.450 0.703 0.699 1
Si1 Si 0.207 0.704 0.065 1
Si2 Si 0.311 0.291 0.668 1
O1 O 0.034 0.290 0.053 1
O2 O 0.072 0.281 0.555 1
O3 O 0.139 0.878 0.630 1
O4 O 0.168 0.891 0.153 1
O5 O 0.255 0.501 0.724 1
O6 O 0.256 0.498 0.230 1
O7 O 0.318 0.123 0.314 1
O8 O 0.372 0.110 0.854 1
O9 O 0.434 0.718 0.935 1
O10 O 0.455 0.726 0.455 1
```

Principal peaks in the range 5 to 70 degrees two-theta, sorted by position:
| 2θ/deg | d (Å) | intensity | (hkl) |
| --- | --- | --- | --- |
| 26.27 | 3.392 | 50 | 0 2 0 |
| 27.68 | 3.223 | 100 | 1 2 1 |
| 32.83 | 2.728 | 39 | -1 2 1 |
| 35.22 | 2.549 | 31 | 2 0 1 |
| 37.71 | 2.385 | 38 | 2 2 1 |
| 45.74 | 1.984 | 40 | 0 1 4 |
| 46.38 | 1.958 | 41 | 2 -2 0 |
| 46.54 | 1.952 | 40 | 2 3 0 |
| 67.18 | 1.393 | 51 | -2 3 4 |
| 67.31 | 1.391 | 50 | 2 2 -4 |

=====

No. 4
# Dy5Si2Sb2
Calculated powder diffractogram, Cu Kα, 1.54184 Å. Input: a crystal structure in the Materials Project, relaxed with GGA-PBE.

Atomic structure:
```
data_Dy5Si2Sb2
_space_group_name_H-M_alt 'C m c e'
_space_group_IT_number 64
_space_group_name_Hall '-C 2ac 2'
_cell_length_a 15.190
_cell_length_b 7.810
_cell_length_c 7.838
_cell_angle_alpha 90.00
_cell_angle_beta 90.00
_cell_angle_gamma 90.00
loop_
_atom_site_label
_atom_site_type_symbol
_atom_site_fract_x
_atom_site_fract_y
_atom_site_fract_z
_atom_site_occupancy
Dy1 Dy 0.000 0.000 0.000 1
Dy2 Dy 0.126 0.167 0.334 1
Si1 Si 0.000 0.132 0.631 1
Sb1 Sb 0.206 0.000 0.000 1
```

Principal peaks in the range 5 to 70 degrees two-theta, sorted by position:
| 2θ/deg | d (Å) | intensity | (hkl) |
| --- | --- | --- | --- |
| 25.48 | 3.495 | 55 | 0 2 1 |
| 26.11 | 3.413 | 47 | 1 1 2 |
| 31.04 | 2.881 | 54 | 3 1 2 |
| 32.36 | 2.766 | 49 | 0 2 2 |
| 32.87 | 2.725 | 100 | 4 2 0 |
| 33.66 | 2.663 | 65 | 5 1 1 |
| 34.89 | 2.572 | 69 | 4 2 1 |
| 36.75 | 2.445 | 51 | 1 1 3 |
| 36.86 | 2.439 | 52 | 1 3 1 |
| 58.55 | 1.576 | 36 | 5 3 3 |

=====

No. 5
# HoMgTl2
Calculated powder diffractogram, Cu Kα, 1.54184 Å. Input: a crystal structure in the Materials Project, relaxed with GGA-PBE.

Atomic structure:
```
data_HoMgTl2
_space_group_name_H-M_alt 'F m -3 m'
_space_group_IT_number 225
_space_group_name_Hall '-F 4 2 3'
_cell_length_a 7.444
_cell_length_b 7.444
_cell_length_c 7.444
_cell_angle_alpha 90.00
_cell_angle_beta 90.00
_cell_angle_gamma 90.00
loop_
_atom_site_label
_atom_site_type_symbol
_atom_site_fract_x
_atom_site_fract_y
_atom_site_fract_z
_atom_site_occupancy
Ho1 Ho 0.000 0.000 0.000 1
Mg1 Mg 0.000 0.000 0.500 1
Tl1 Tl 0.250 0.250 0.250 1
```

Principal peaks in the range 5 to 70 degrees two-theta, sorted by position:
| 2θ/deg | d (Å) | intensity | (hkl) |
| --- | --- | --- | --- |
| 20.67 | 4.298 | 13 | 1 1 1 |
| 23.91 | 3.722 | 15 | 2 0 0 |
| 34.07 | 2.632 | 100 | 2 2 0 |
| 40.18 | 2.244 | 7 | 3 1 1 |
| 42.05 | 2.149 | 5 | 2 2 2 |
| 48.95 | 1.861 | 18 | 4 0 0 |
| 53.67 | 1.708 | 3 | 3 3 1 |
| 55.18 | 1.664 | 7 | 4 2 0 |
| 60.98 | 1.519 | 38 | 4 2 2 |
| 65.12 | 1.433 | 2 | 5 1 1 |

=====

No. 6
# Rb2Hg2PdBr8
Calculated powder diffractogram, Cu Kα, 1.54184 Å. Input: a crystal structure in the Materials Project, relaxed with GGA-PBE.

Atomic structure:
```
data_Rb2Hg2PdBr8
_space_group_name_H-M_alt 'C 1 2/m 1'
_space_group_IT_number 12
_cell_length_a 12.255
_cell_length_b 7.458
_cell_length_c 10.790
_cell_angle_alpha 90.00
_cell_angle_beta 109.70
_cell_angle_gamma 90.00
loop_
_space_group_symop_operation_xyz
'x,y,z'
'-x,-y,-z'
'-x,y,-z'
'x,-y,z'
'x+1/2,y+1/2,z'
'-x+1/2,-y+1/2,-z'
'-x+1/2,y+1/2,-z'
'x+1/2,-y+1/2,z'
loop_
_atom_site_label
_atom_site_type_symbol
_atom_site_fract_x
_atom_site_fract_y
_atom_site_fract_z
_atom_site_occupancy
Rb1 Rb 0.103 0.000 0.333 1
Hg1 Hg 0.132 0.500 0.892 1
Pd1 Pd 0.000 0.500 0.500 1
Br1 Br 0.084 0.500 0.193 1
Br2 Br 0.132 0.266 0.632 1
Br3 Br 0.153 0.000 0.001 1
```

Principal peaks in the range 5 to 70 degrees two-theta, sorted by position:
| 2θ/deg | d (Å) | intensity | (hkl) |
| --- | --- | --- | --- |
| 14.14 | 6.264 | 56 | 1 1 0 |
| 14.89 | 5.951 | 39 | 2 0 -1 |
| 17.95 | 4.943 | 36 | 1 1 1 |
| 23.86 | 3.729 | 43 | 0 2 0 |
| 25.44 | 3.501 | 47 | 0 2 1 |
| 25.63 | 3.476 | 50 | 2 0 -3 |
| 27.56 | 3.237 | 100 | 1 1 -3 |
| 30.67 | 2.915 | 62 | 2 2 -2 |
| 31.00 | 2.885 | 43 | 4 0 0 |
| 51.02 | 1.790 | 36 | 6 2 -2 |

=====

No. 7
# Ba2LaCl7
Calculated powder diffractogram, Cu Kα, 1.54184 Å. Input: a crystal structure in the Materials Project, relaxed with GGA-PBE.

Atomic structure:
```
data_Ba2LaCl7
_space_group_name_H-M_alt 'C 1 2/c 1'
_space_group_IT_number 15
_cell_length_a 19.318
_cell_length_b 13.203
_cell_length_c 11.567
_cell_angle_alpha 90.00
_cell_angle_beta 118.45
_cell_angle_gamma 90.00
loop_
_space_group_symop_operation_xyz
'x,y,z'
'-x,-y,-z'
'-x,y,-z+1/2'
'x,-y,z+1/2'
'x+1/2,y+1/2,z'
'-x+1/2,-y+1/2,-z'
'-x+1/2,y+1/2,-z+1/2'
'x+1/2,-y+1/2,z+1/2'
loop_
_atom_site_label
_atom_site_type_symbol
_atom_site_fract_x
_atom_site_fract_y
_atom_site_fract_z
_atom_site_occupancy
Ba1 Ba 0.079 0.181 0.044 1
Ba2 Ba 0.119 0.450 0.464 1
La1 La 0.176 0.162 0.678 1
Cl1 Cl 0.060 0.028 0.668 1
Cl2 Cl 0.062 0.415 0.146 1
Cl3 Cl 0.071 0.212 0.419 1
Cl4 Cl 0.076 0.300 0.710 1
Cl5 Cl 0.207 0.339 0.060 1
Cl6 Cl 0.232 0.181 0.340 1
Cl7 Cl 0.236 0.002 0.110 1
```

Principal peaks in the range 5 to 70 degrees two-theta, sorted by position:
| 2θ/deg | d (Å) | intensity | (hkl) |
| --- | --- | --- | --- |
| 15.47 | 5.728 | 69 | 2 0 -2 |
| 18.29 | 4.850 | 54 | 3 1 -2 |
| 20.53 | 4.326 | 34 | 2 2 -2 |
| 20.87 | 4.257 | 68 | 1 3 0 |
| 21.58 | 4.118 | 49 | 1 1 2 |
| 25.63 | 3.475 | 39 | 3 3 0 |
| 28.86 | 3.093 | 41 | 2 4 -1 |
| 30.01 | 2.978 | 73 | 1 1 3 |
| 31.22 | 2.865 | 100 | 5 3 -2 |
| 34.37 | 2.609 | 46 | 7 1 -3 |

=====

No. 8
# La2Ge4IrPd3
Calculated powder diffractogram, Cu Kα, 1.54184 Å. Input: a crystal structure in the Materials Project, relaxed with GGA-PBE.

Atomic structure:
```
data_La2Ge4IrPd3
_space_group_name_H-M_alt 'P 4 m m'
_space_group_IT_number 99
_cell_length_a 4.451
_cell_length_b 4.451
_cell_length_c 9.971
_cell_angle_alpha 90.00
_cell_angle_beta 90.00
_cell_angle_gamma 90.00
loop_
_space_group_symop_operation_xyz
'x,y,z'
'-y,x,z'
'-x,-y,z'
'y,-x,z'
'-x,y,z'
'y,x,z'
'x,-y,z'
'-y,-x,z'
loop_
_atom_site_label
_atom_site_type_symbol
_atom_site_fract_x
_atom_site_fract_y
_atom_site_fract_z
_atom_site_occupancy
La1 La 0.000 0.000 0.000 1
La2 La 0.500 0.500 0.490 1
Ge1 Ge 0.000 0.000 0.611 1
Ge2 Ge 0.000 0.500 0.246 1
Ge3 Ge 0.500 0.500 0.871 1
Ir1 Ir 0.000 0.000 0.367 1
Pd1 Pd 0.000 0.500 0.744 1
Pd2 Pd 0.500 0.500 0.119 1
```

Principal peaks in the range 5 to 70 degrees two-theta, sorted by position:
| 2θ/deg | d (Å) | intensity | (hkl) |
| --- | --- | --- | --- |
| 28.36 | 3.148 | 13 | 1 1 0 |
| 33.66 | 2.662 | 100 | 1 1 2 |
| 40.53 | 2.226 | 46 | 2 0 0 |
| 46.47 | 1.954 | 16 | 1 1 4 |
| 50.12 | 1.820 | 15 | 1 0 5 |
| 53.67 | 1.708 | 24 | 2 1 3 |
| 58.66 | 1.574 | 16 | 2 2 0 |
| 63.28 | 1.470 | 8 | 1 1 6 |
| 66.36 | 1.409 | 15 | 2 1 5 |
| 69.37 | 1.355 | 19 | 3 1 2 |

=====

No. 9
# Sn5S4Cl2
Calculated powder diffractogram, Cu Kα, 1.54184 Å. Input: a crystal structure in the Materials Project, relaxed with GGA-PBE.

Atomic structure:
```
data_Sn5S4Cl2
_space_group_name_H-M_alt 'P m a 2'
_space_group_IT_number 28
_cell_length_a 18.036
_cell_length_b 5.886
_cell_length_c 5.979
_cell_angle_alpha 90.00
_cell_angle_beta 90.00
_cell_angle_gamma 90.00
loop_
_space_group_symop_operation_xyz
'x,y,z'
'-x,-y,z'
'-x+1/2,y,z'
'x+1/2,-y,z'
loop_
_atom_site_label
_atom_site_type_symbol
_atom_site_fract_x
_atom_site_fract_y
_atom_site_fract_z
_atom_site_occupancy
Sn1 Sn 0.075 0.243 0.000 1
Sn2 Sn 0.076 0.749 0.536 1
Sn3 Sn 0.250 0.756 0.031 1
S1 S 0.071 0.250 0.555 1
S2 S 0.080 0.760 0.011 1
Cl1 Cl 0.250 0.202 0.027 1
Cl2 Cl 0.250 0.737 0.608 1
```

Principal peaks in the range 5 to 70 degrees two-theta, sorted by position:
| 2θ/deg | d (Å) | intensity | (hkl) |
| --- | --- | --- | --- |
| 9.81 | 9.018 | 42 | 2 0 0 |
| 25.90 | 3.440 | 100 | 3 1 1 |
| 29.72 | 3.006 | 70 | 6 0 0 |
| 29.89 | 2.989 | 68 | 0 0 2 |
| 30.37 | 2.943 | 70 | 0 2 0 |
| 42.65 | 2.120 | 47 | 6 0 2 |
| 43.01 | 2.103 | 49 | 6 2 0 |
| 43.13 | 2.097 | 48 | 0 2 2 |
| 50.69 | 1.801 | 22 | 3 1 3 |
| 53.26 | 1.720 | 48 | 6 2 2 |

=====

No. 10
# NaH3SO5
Calculated powder diffractogram, Cu Kα, 1.54184 Å. Input: a crystal structure in the Materials Project, relaxed with GGA-PBE.

Atomic structure:
```
data_NaH3SO5
_space_group_name_H-M_alt 'C 1 c 1'
_space_group_IT_number 9
_cell_length_a 7.922
_cell_length_b 7.948
_cell_length_c 8.028
_cell_angle_alpha 90.00
_cell_angle_beta 117.37
_cell_angle_gamma 90.00
loop_
_space_group_symop_operation_xyz
'x,y,z'
'x,-y,z+1/2'
'x+1/2,y+1/2,z'
'x+1/2,-y+1/2,z+1/2'
loop_
_atom_site_label
_atom_site_type_symbol
_atom_site_fract_x
_atom_site_fract_y
_atom_site_fract_z
_atom_site_occupancy
Na1 Na 0.000 0.037 0.000 1
H1 H 0.114 0.460 0.008 1
H2 H 0.160 0.197 0.783 1
H3 H 0.447 0.247 0.188 1
S1 S 0.483 0.117 0.756 1
O1 O 0.029 0.155 0.741 1
O2 O 0.072 0.322 0.141 1
O3 O 0.159 0.467 0.432 1
O4 O 0.343 0.017 0.165 1
O5 O 0.412 0.254 0.828 1
```

Principal peaks in the range 5 to 70 degrees two-theta, sorted by position:
| 2θ/deg | d (Å) | intensity | (hkl) |
| --- | --- | --- | --- |
| 16.83 | 5.268 | 29 | 1 1 0 |
| 17.14 | 5.173 | 38 | 1 1 -1 |
| 24.22 | 3.675 | 46 | 1 1 1 |
| 24.88 | 3.579 | 100 | 1 1 -2 |
| 24.98 | 3.565 | 21 | 0 0 2 |
| 25.32 | 3.518 | 85 | 2 0 0 |
| 25.66 | 3.471 | 98 | 0 2 1 |
| 31.91 | 2.805 | 37 | 2 2 -1 |
| 33.78 | 2.654 | 22 | 0 2 2 |
| 40.38 | 2.233 | 23 | 2 2 1 |